Theoretical XRD peak list
Compound: AcPa2Se6
Radiation: CuKα
Structure: a cell relaxed with PBE
Kinematic intensities with the Lorentz-polarization factor, no thermal factor.

Structural model:
```
AcPa2Se6
1.0
7.244 -5.791 0.000
7.244 5.791 0.000
-3.205 0.000 6.763
Ac Pa Se
2 4 12
Direct
0.174 0.826 0.750 Ac
0.826 0.174 0.250 Ac
0.185 0.342 0.082 Pa
0.342 0.185 0.582 Pa
0.658 0.815 0.418 Pa
0.815 0.658 0.918 Pa
0.077 0.169 0.675 Se
0.135 0.607 0.968 Se
0.169 0.077 0.175 Se
0.258 0.471 0.493 Se
0.393 0.865 0.532 Se
0.471 0.258 0.993 Se
0.529 0.742 0.007 Se
0.607 0.135 0.468 Se
0.742 0.529 0.507 Se
0.831 0.923 0.825 Se
0.865 0.393 0.032 Se
0.923 0.831 0.325 Se
```

Peak list (10 most intense, 2θ = 10–90°, sorted by position)
2θ = 18.79°, d 4.723, rel. 65; 2θ = 20.19°, d 4.399, rel. 30; 2θ = 20.44°, d 4.345, rel. 100; 2θ = 29.96°, d 2.982, rel. 76; 2θ = 30.99°, d 2.886, rel. 62; 2θ = 32.69°, d 2.740, rel. 31; 2θ = 38.60°, d 2.333, rel. 32; 2θ = 38.89°, d 2.316, rel. 31; 2θ = 39.47°, d 2.283, rel. 51; 2θ = 40.77°, d 2.213, rel. 29

Theoretical XRD peak list
Compound: Rb2In6Rh
Radiation: CuKα
Structure: a cell relaxed with PBE
Kinematic intensities with the Lorentz-polarization factor, no thermal factor.

Structural model:
```
Rb2In6Rh
1.0
5.939 -3.835 0.000
5.939 3.835 0.000
-0.491 0.000 5.907
Rb In Rh
2 6 1
Direct
0.126 0.126 0.202 Rb
0.874 0.874 0.798 Rb
0.198 0.605 0.307 In
0.306 0.306 0.730 In
0.395 0.802 0.693 In
0.605 0.198 0.307 In
0.694 0.694 0.270 In
0.802 0.395 0.693 In
0.500 0.500 0.000 Rh
```

Peak list (10 most intense, 2θ = 10–90°, sorted by position)
2θ = 13.76°, d 6.437, rel. 30; 2θ = 27.73°, d 3.217, rel. 22; 2θ = 30.24°, d 2.955, rel. 41; 2θ = 30.58°, d 2.924, rel. 43; 2θ = 31.04°, d 2.881, rel. 100; 2θ = 32.27°, d 2.774, rel. 31; 2θ = 32.74°, d 2.736, rel. 24; 2θ = 35.02°, d 2.562, rel. 26; 2θ = 41.37°, d 2.183, rel. 20; 2θ = 52.69°, d 1.737, rel. 21

Theoretical XRD peak list
Compound: BeV4Fe5
Radiation: CuKα
Structure: a cell relaxed with PBE
Kinematic intensities with the Lorentz-polarization factor, no thermal factor.

Structural model:
```
BeV4Fe5
1.0
2.838 0.000 0.000
0.000 2.838 0.000
0.000 0.000 13.935
Be V Fe
1 4 5
Direct
0.000 0.000 0.000 Be
0.000 0.000 0.184 V
0.000 0.000 0.395 V
0.000 0.000 0.605 V
0.000 0.000 0.816 V
0.500 0.500 0.091 Fe
0.500 0.500 0.291 Fe
0.500 0.500 0.500 Fe
0.500 0.500 0.709 Fe
0.500 0.500 0.909 Fe
```

Peak list (10 most intense, 2θ = 10–90°, sorted by position)
2θ = 31.53°, d 2.838, rel. 5; 2θ = 32.15°, d 2.784, rel. 5; 2θ = 41.02°, d 2.200, rel. 10; 2θ = 45.19°, d 2.006, rel. 56; 2θ = 45.62°, d 1.988, rel. 100; 2θ = 65.83°, d 1.419, rel. 16; 2θ = 67.17°, d 1.394, rel. 5; 2θ = 77.94°, d 1.226, rel. 4; 2θ = 83.75°, d 1.155, rel. 29; 2θ = 84.68°, d 1.145, rel. 11

Theoretical XRD peak list
Compound: RbTl5Br7
Radiation: CuKα
Structure: a cell relaxed with PBE
Kinematic intensities with the Lorentz-polarization factor, no thermal factor.

Structural model:
```
RbTl5Br7
1.0
7.682 -2.355 0.000
7.682 2.355 0.000
-0.047 0.000 27.555
Rb Tl Br
2 10 14
Direct
0.000 0.000 0.000 Rb
0.602 0.602 0.501 Rb
0.080 0.080 0.326 Tl
0.080 0.080 0.675 Tl
0.255 0.255 0.101 Tl
0.255 0.255 0.899 Tl
0.347 0.347 0.399 Tl
0.347 0.347 0.601 Tl
0.522 0.522 0.175 Tl
0.523 0.523 0.826 Tl
0.801 0.801 0.250 Tl
0.801 0.801 0.750 Tl
0.163 0.163 0.212 Br
0.164 0.164 0.789 Br
0.270 0.270 0.500 Br
0.332 0.332 0.000 Br
0.438 0.438 0.289 Br
0.438 0.438 0.711 Br
0.617 0.617 0.075 Br
0.619 0.619 0.926 Br
0.711 0.711 0.638 Br
0.712 0.712 0.363 Br
0.890 0.890 0.138 Br
0.891 0.891 0.862 Br
0.983 0.983 0.574 Br
0.984 0.984 0.426 Br
```

Peak list (10 most intense, 2θ = 10–90°, sorted by position)
2θ = 22.56°, d 3.942, rel. 57; 2θ = 25.42°, d 3.503, rel. 35; 2θ = 25.90°, d 3.440, rel. 43; 2θ = 26.51°, d 3.362, rel. 100; 2θ = 27.50°, d 3.243, rel. 84; 2θ = 35.46°, d 2.532, rel. 41; 2θ = 38.26°, d 2.353, rel. 91; 2θ = 38.61°, d 2.332, rel. 48; 2θ = 38.78°, d 2.322, rel. 35; 2θ = 55.58°, d 1.653, rel. 23

Theoretical XRD peak list
Compound: BeAl2O
Radiation: CuKα
Structure: a cell relaxed with PBE
Kinematic intensities with the Lorentz-polarization factor, no thermal factor.

Structural model:
```
BeAl2O
1.0
-2.547 2.547 4.420
2.547 -2.547 4.420
2.547 2.547 -4.420
Be Al O
2 4 2
Direct
0.000 0.000 0.000 Be
0.750 0.250 0.500 Be
0.186 0.625 0.061 Al
0.375 0.436 0.561 Al
0.564 0.125 0.939 Al
0.875 0.814 0.439 Al
0.250 0.750 0.500 O
0.500 0.500 0.000 O
```

Peak list (10 most intense, 2θ = 10–90°, sorted by position)
2θ = 20.12°, d 4.414, rel. 35; 2θ = 32.05°, d 2.792, rel. 100; 2θ = 35.23°, d 2.547, rel. 7; 2θ = 40.89°, d 2.207, rel. 17; 2θ = 50.67°, d 1.802, rel. 26; 2θ = 55.01°, d 1.669, rel. 32; 2θ = 61.24°, d 1.514, rel. 16; 2θ = 67.05°, d 1.396, rel. 15; 2θ = 68.85°, d 1.364, rel. 10; 2θ = 78.10°, d 1.224, rel. 6

Theoretical XRD peak list
Compound: Na4B5C3
Radiation: CuKα
Structure: a cell relaxed with PBE
Kinematic intensities with the Lorentz-polarization factor, no thermal factor.

Structural model:
```
Na4B5C3
1.0
2.828 0.000 0.000
0.000 8.507 5.038
0.000 -8.507 5.038
Na B C
8 10 6
Direct
0.000 0.126 0.874 Na
0.000 0.373 0.626 Na
0.000 0.626 0.373 Na
0.000 0.874 0.126 Na
0.500 0.125 0.376 Na
0.500 0.376 0.125 Na
0.500 0.622 0.876 Na
0.500 0.876 0.622 Na
0.000 0.179 0.179 B
0.000 0.348 0.348 B
0.000 0.415 0.915 B
0.000 0.812 0.812 B
0.000 0.915 0.415 B
0.500 0.078 0.078 B
0.500 0.166 0.664 B
0.500 0.581 0.581 B
0.500 0.664 0.166 B
0.500 0.914 0.914 B
0.000 0.083 0.582 C
0.000 0.582 0.083 C
0.000 0.659 0.659 C
0.500 0.333 0.831 C
0.500 0.424 0.424 C
0.500 0.831 0.333 C
```

Peak list (10 most intense, 2θ = 10–90°, sorted by position)
2θ = 35.64°, d 2.519, rel. 10; 2θ = 36.44°, d 2.466, rel. 17; 2θ = 41.67°, d 2.167, rel. 50; 2θ = 42.37°, d 2.133, rel. 100; 2θ = 42.51°, d 2.127, rel. 38; 2θ = 57.20°, d 1.610, rel. 10; 2θ = 64.55°, d 1.444, rel. 17; 2θ = 77.69°, d 1.229, rel. 13; 2θ = 80.39°, d 1.195, rel. 17; 2θ = 81.24°, d 1.184, rel. 11

Theoretical XRD peak list
Compound: TbMg4Ga15
Radiation: CuKα
Structure: a cell relaxed with PBE
Kinematic intensities with the Lorentz-polarization factor, no thermal factor.

Structural model:
```
TbMg4Ga15
1.0
4.224 0.000 0.000
0.000 4.224 0.000
0.000 0.000 21.063
Tb Mg Ga
1 4 15
Direct
0.000 0.000 0.000 Tb
0.000 0.000 0.202 Mg
0.000 0.000 0.400 Mg
0.000 0.000 0.600 Mg
0.000 0.000 0.798 Mg
0.000 0.500 0.105 Ga
0.000 0.500 0.301 Ga
0.000 0.500 0.500 Ga
0.000 0.500 0.699 Ga
0.000 0.500 0.895 Ga
0.500 0.000 0.105 Ga
0.500 0.000 0.301 Ga
0.500 0.000 0.500 Ga
0.500 0.000 0.699 Ga
0.500 0.000 0.895 Ga
0.500 0.500 0.000 Ga
0.500 0.500 0.204 Ga
0.500 0.500 0.401 Ga
0.500 0.500 0.599 Ga
0.500 0.500 0.796 Ga
```

Peak list (10 most intense, 2θ = 10–90°, sorted by position)
2θ = 21.45°, d 4.142, rel. 4; 2θ = 22.68°, d 3.921, rel. 3; 2θ = 24.59°, d 3.620, rel. 3; 2θ = 36.89°, d 2.437, rel. 100; 2θ = 42.81°, d 2.112, rel. 33; 2θ = 42.94°, d 2.106, rel. 16; 2θ = 62.22°, d 1.492, rel. 31; 2θ = 74.52°, d 1.273, rel. 24; 2θ = 74.70°, d 1.271, rel. 11; 2θ = 78.51°, d 1.218, rel. 10

Theoretical XRD peak list
Compound: Hf7Al2Ga2
Radiation: CuKα
Structure: a cell relaxed with PBE
Kinematic intensities with the Lorentz-polarization factor, no thermal factor.

Structural model:
```
Hf7Al2Ga2
1.0
3.512 -4.964 0.000
3.512 4.964 0.000
0.000 0.000 6.843
Hf Al Ga
7 2 2
Direct
0.000 0.000 0.000 Hf
0.000 0.500 0.287 Hf
0.000 0.500 0.713 Hf
0.500 0.000 0.287 Hf
0.500 0.000 0.713 Hf
0.500 0.500 0.267 Hf
0.500 0.500 0.733 Hf
0.175 0.175 0.500 Al
0.825 0.825 0.500 Al
0.293 0.707 0.000 Ga
0.707 0.293 0.000 Ga
```

Peak list (10 most intense, 2θ = 10–90°, sorted by position)
2θ = 26.04°, d 3.421, rel. 24; 2θ = 28.57°, d 3.124, rel. 25; 2θ = 30.42°, d 2.938, rel. 47; 2θ = 31.20°, d 2.867, rel. 100; 2θ = 36.19°, d 2.482, rel. 54; 2θ = 36.67°, d 2.451, rel. 19; 2θ = 39.51°, d 2.281, rel. 19; 2θ = 40.02°, d 2.253, rel. 38; 2θ = 41.08°, d 2.197, rel. 76; 2θ = 52.09°, d 1.756, rel. 19